1.
Theoretical powder diffractogram
Compound: Cs2SnAuBr4Cl2
Radiation: copper Kα
Structure: a cell relaxed with GGA-PBE
Lines closer than 0.1° are merged.

Most intense lines, 2θ from 5° to 70°, low angle first:
Position (°2θ)  Rel. int.
16.00  24
22.68  100
27.86  24
32.25  65
32.35  32
36.21  14
39.80  48
46.30  70
57.57  24
62.63  15

```
Cs2SnAuBr4Cl2
1.0
-3.926 3.926 5.534
3.926 -3.926 5.534
3.926 3.926 -5.534
Cs Sn Au Br Cl
2 1 1 4 2
Direct
0.250 0.750 0.500 Cs
0.750 0.250 0.500 Cs
0.000 0.000 0.000 Sn
0.500 0.500 0.000 Au
0.254 0.254 0.508 Br
0.254 0.746 0.000 Br
0.746 0.254 0.000 Br
0.746 0.746 0.492 Br
0.240 0.240 0.000 Cl
0.760 0.760 0.000 Cl
```



2.
Theoretical powder diffractogram
Compound: Rb2CuAuBr2Cl4
Radiation: copper Kα
Structure: a cell relaxed with GGA-PBE
Lines closer than 0.1° are merged.

Most intense lines, 2θ from 5° to 70°, low angle first:
Position (°2θ)  Rel. int.
17.41  69
23.71  89
24.71  96
27.10  48
32.27  52
35.23  100
41.07  36
42.91  36
48.52  62
50.68  34

```
Rb2CuAuBr2Cl4
1.0
-3.603 3.603 5.547
3.603 -3.603 5.547
3.603 3.603 -5.547
Rb Cu Au Br Cl
2 1 1 2 4
Direct
0.250 0.750 0.500 Rb
0.750 0.250 0.500 Rb
0.000 0.000 0.000 Cu
0.500 0.500 0.000 Au
0.209 0.209 0.000 Br
0.791 0.791 0.000 Br
0.266 0.266 0.533 Cl
0.266 0.734 0.000 Cl
0.734 0.266 0.000 Cl
0.734 0.734 0.467 Cl
```



3.
Theoretical powder diffractogram
Compound: KAuBr2Cl
Radiation: copper Kα
Structure: a cell relaxed with GGA-PBE
Lines closer than 0.1° are merged.

Most intense lines, 2θ from 5° to 70°, low angle first:
Position (°2θ)  Rel. int.
16.21  100
23.01  57
32.65  21
32.85  43
36.82  39
40.48  21
46.99  29
47.14  15
50.16  14
58.52  14

```
KAuBr2Cl
1.0
-3.856 3.856 5.485
3.856 -3.856 5.485
3.856 3.856 -5.485
K Au Br Cl
2 2 4 2
Direct
0.250 0.750 0.500 K
0.750 0.250 0.500 K
0.000 0.000 0.000 Au
0.500 0.500 0.000 Au
0.231 0.231 0.462 Br
0.231 0.769 0.000 Br
0.769 0.231 0.000 Br
0.769 0.769 0.538 Br
0.287 0.287 0.000 Cl
0.713 0.713 0.000 Cl
```



4.
Theoretical powder diffractogram
Compound: CsAuBr3
Radiation: copper Kα
Structure: a cell relaxed with GGA-PBE
Lines closer than 0.1° are merged.

Most intense lines, 2θ from 5° to 70°, low angle first:
Position (°2θ)  Rel. int.
16.15  38
22.48  100
22.92  46
27.80  27
31.36  51
32.64  97
39.99  43
45.89  68
46.83  34
57.44  33

```
CsAuBr3
1.0
-3.880 3.880 5.706
3.880 -3.880 5.706
3.880 3.880 -5.706
Cs Au Br
2 2 6
Direct
0.250 0.750 0.500 Cs
0.750 0.250 0.500 Cs
0.000 0.000 0.000 Au
0.500 0.500 0.000 Au
0.217 0.217 0.000 Br
0.270 0.270 0.540 Br
0.270 0.730 0.000 Br
0.730 0.270 0.000 Br
0.730 0.730 0.460 Br
0.783 0.783 0.000 Br
```



5.
Theoretical powder diffractogram
Compound: CsAuBr2F
Radiation: copper Kα
Structure: a cell relaxed with GGA-PBE
Lines closer than 0.1° are merged.

Most intense lines, 2θ from 5° to 70°, low angle first:
Position (°2θ)  Rel. int.
17.09  26
23.30  18
23.79  100
33.18  56
34.58  24
37.56  14
41.24  46
47.63  20
48.68  36
60.19  18

```
CsAuBr2F
1.0
-3.818 3.818 5.187
3.818 -3.818 5.187
3.818 3.818 -5.187
Cs Au Br F
2 2 4 2
Direct
0.250 0.750 0.500 Cs
0.750 0.250 0.500 Cs
0.000 0.000 0.000 Au
0.500 0.500 0.000 Au
0.234 0.234 0.468 Br
0.234 0.766 0.000 Br
0.766 0.234 0.000 Br
0.766 0.766 0.532 Br
0.305 0.305 0.000 F
0.695 0.695 0.000 F
```



6.
Theoretical powder diffractogram
Compound: AuBrF2
Radiation: copper Kα
Structure: a cell relaxed with GGA-PBE
Lines closer than 0.1° are merged.

Most intense lines, 2θ from 5° to 70°, low angle first:
Position (°2θ)  Rel. int.
15.38  85
22.96  100
30.92  75
31.08  75
33.73  71
45.95  42
47.18  26
47.33  39
49.61  29
53.62  39

```
AuBrF2
1.0
7.306 0.000 0.000
0.000 4.253 0.000
0.000 0.000 9.372
Au Br F
4 4 8
Direct
0.250 0.000 0.077 Au
0.250 0.500 0.423 Au
0.750 0.000 0.923 Au
0.750 0.500 0.577 Au
0.051 0.250 0.250 Br
0.449 0.750 0.250 Br
0.551 0.250 0.750 Br
0.949 0.750 0.750 Br
0.114 0.224 0.924 F
0.114 0.276 0.576 F
0.386 0.724 0.576 F
0.386 0.776 0.924 F
0.614 0.224 0.076 F
0.614 0.276 0.424 F
0.886 0.724 0.424 F
0.886 0.776 0.076 F
```



7.
Theoretical powder diffractogram
Compound: GaAuIBr3
Radiation: copper Kα
Structure: a cell relaxed with GGA-PBE
Lines closer than 0.1° are merged.

Most intense lines, 2θ from 5° to 70°, low angle first:
Position (°2θ)  Rel. int.
16.41  93
16.67  74
24.98  59
25.43  100
26.12  74
26.43  87
40.82  42
41.82  79
43.54  37
44.55  35

```
GaAuIBr3
1.0
6.146 0.000 0.000
-0.145 6.229 0.000
-3.029 -2.773 5.666
Ga Au I Br
1 1 1 3
Direct
0.000 0.000 0.000 Ga
0.737 0.283 0.526 Au
0.600 0.658 0.751 I
0.109 0.096 0.748 Br
0.337 0.879 0.234 Br
0.905 0.340 0.232 Br
```



8.
Theoretical powder diffractogram
Compound: Rb2GaAuBr6
Radiation: copper Kα
Structure: a cell relaxed with GGA-PBE
Lines closer than 0.1° are merged.

Most intense lines, 2θ from 5° to 70°, low angle first:
Position (°2θ)  Rel. int.
15.46  53
22.43  47
24.76  29
26.35  35
28.76  34
31.21  100
32.04  24
34.67  36
36.70  30
48.85  35

```
Rb2GaAuBr6
1.0
6.414 -3.886 0.000
6.414 3.886 0.000
-5.035 0.000 6.874
Rb Ga Au Br
2 1 1 6
Direct
0.244 0.244 0.245 Rb
0.756 0.756 0.755 Rb
0.500 0.500 0.000 Ga
0.000 0.000 0.500 Au
0.233 0.233 0.646 Br
0.234 0.688 0.167 Br
0.312 0.766 0.833 Br
0.688 0.234 0.167 Br
0.766 0.312 0.833 Br
0.767 0.767 0.354 Br
```



9.
Theoretical powder diffractogram
Compound: K2GeAuBr6
Radiation: copper Kα
Structure: a cell relaxed with GGA-PBE
Lines closer than 0.1° are merged.

Most intense lines, 2θ from 5° to 70°, low angle first:
Position (°2θ)  Rel. int.
14.12  15
16.31  95
23.15  25
27.22  14
28.45  26
32.97  100
36.99  52
47.32  71
50.38  27
58.87  24

```
K2GeAuBr6
1.0
0.000 5.434 5.434
5.434 0.000 5.434
5.434 5.434 0.000
K Ge Au Br
2 1 1 6
Direct
0.250 0.250 0.250 K
0.750 0.750 0.750 K
0.000 0.000 0.000 Ge
0.500 0.500 0.500 Au
0.246 0.246 0.754 Br
0.246 0.754 0.246 Br
0.246 0.754 0.754 Br
0.754 0.246 0.246 Br
0.754 0.246 0.754 Br
0.754 0.754 0.246 Br
```



10.
Theoretical powder diffractogram
Compound: AuI6Br
Radiation: copper Kα
Structure: a cell relaxed with GGA-PBE
Lines closer than 0.1° are merged.

Most intense lines, 2θ from 5° to 70°, low angle first:
Position (°2θ)  Rel. int.
14.00  27
27.00  23
28.22  100
32.70  72
35.73  17
42.90  11
46.92  50
55.66  41
58.36  17
65.44  10

```
AuI6Br
1.0
0.000 5.477 5.477
5.477 0.000 5.477
5.477 5.477 0.000
Au I Br
1 6 1
Direct
0.000 0.000 0.000 Au
0.514 0.514 0.986 I
0.514 0.986 0.514 I
0.514 0.986 0.986 I
0.986 0.514 0.514 I
0.986 0.514 0.986 I
0.986 0.986 0.514 I
0.250 0.250 0.250 Br
```



11.
Theoretical powder diffractogram
Compound: Au2IBr
Radiation: copper Kα
Structure: a cell relaxed with GGA-PBE
Lines closer than 0.1° are merged.

Most intense lines, 2θ from 5° to 70°, low angle first:
Position (°2θ)  Rel. int.
13.99  84
24.93  37
30.05  100
36.27  61
42.86  22
44.24  54
46.56  31
51.14  40
60.52  16
69.04  19

```
Au2IBr
1.0
4.327 0.000 0.000
0.000 4.327 0.000
0.000 0.000 12.661
Au I Br
4 2 2
Direct
0.247 0.247 0.000 Au
0.247 0.753 0.500 Au
0.753 0.247 0.500 Au
0.753 0.753 0.000 Au
0.500 0.500 0.334 I
0.500 0.500 0.834 I
0.000 0.000 0.158 Br
0.000 0.000 0.658 Br
```



What did the eleventh record say?
Theoretical powder diffractogram
Compound: Au2IBr
Radiation: copper Kα
Structure: a cell relaxed with GGA-PBE
Lines closer than 0.1° are merged.

Most intense lines, 2θ from 5° to 70°, low angle first:
Position (°2θ)  Rel. int.
13.99  84
24.93  37
30.05  100
36.27  61
42.86  22
44.24  54
46.56  31
51.14  40
60.52  16
69.04  19

```
Au2IBr
1.0
4.327 0.000 0.000
0.000 4.327 0.000
0.000 0.000 12.661
Au I Br
4 2 2
Direct
0.247 0.247 0.000 Au
0.247 0.753 0.500 Au
0.753 0.247 0.500 Au
0.753 0.753 0.000 Au
0.500 0.500 0.334 I
0.500 0.500 0.834 I
0.000 0.000 0.158 Br
0.000 0.000 0.658 Br
```